Diffraction record for Li2TiCrO4. The powder diffraction line list is computed, not measured: it uses a structure optimized by DFT (GGA+U) and Cu Kα (λ = 1.5418 Å).

Main lines, low angle first (2θ = 10–90°):
| d (Å) | 2theta | I_rel |
| --- | --- | --- |
| 3.755 | 23.7 | 100 |
| 2.433 | 37.0 | 14 |
| 2.360 | 38.1 | 15 |
| 2.146 | 42.1 | 30 |
| 2.088 | 43.3 | 57 |
| 1.825 | 50.0 | 22 |
| 1.588 | 58.1 | 10 |
| 1.496 | 62.0 | 31 |
| 1.477 | 62.9 | 15 |
| 1.216 | 78.7 | 13 |

Cell and atoms:
```
Li2TiCrO4
1.0
2.952 -4.291 0.000
2.952 4.291 0.000
0.000 0.000 5.908
Li Ti Cr O
4 2 2 8
direct
0.000 0.000 0.000 Li
0.000 0.500 0.250 Li
0.500 0.000 0.750 Li
0.500 0.500 0.500 Li
0.000 0.500 0.748 Ti
0.500 0.000 0.252 Ti
0.000 0.000 0.500 Cr
0.500 0.500 0.000 Cr
0.238 0.281 0.761 O
0.241 0.759 0.500 O
0.261 0.739 0.000 O
0.281 0.238 0.239 O
0.719 0.762 0.239 O
0.739 0.261 0.000 O
0.759 0.241 0.500 O
0.762 0.719 0.761 O
```

---

Diffraction record for Li2TiCrO4. The powder diffraction line list is computed, not measured: it uses a structure optimized by DFT (GGA+U) and Cu Kα (λ = 1.5418 Å).

Main lines, low angle first (2θ = 10–90°):
| d (Å) | 2theta | I_rel |
| --- | --- | --- |
| 3.748 | 23.7 | 100 |
| 2.430 | 37.0 | 14 |
| 2.364 | 38.1 | 15 |
| 2.155 | 41.9 | 30 |
| 2.081 | 43.5 | 57 |
| 1.819 | 50.1 | 22 |
| 1.593 | 57.9 | 10 |
| 1.497 | 62.0 | 31 |
| 1.472 | 63.2 | 15 |
| 1.215 | 78.8 | 14 |

Cell and atoms:
```
Li2TiCrO4
1.0
-2.081 2.081 4.309
2.081 -2.081 4.309
2.081 2.081 -4.309
Li Ti Cr O
2 1 1 4
direct
0.000 0.000 0.000 Li
0.750 0.250 0.500 Li
0.500 0.500 0.000 Ti
0.250 0.750 0.500 Cr
0.011 0.511 0.500 O
0.272 0.272 0.000 O
0.489 0.989 0.500 O
0.728 0.728 0.000 O
```